No. 1
This entry pairs a crystal structure of Ca2TlAg3 with its simulated PXRD pattern. Radiation: CuKα. Structure: a crystal structure in Alexandria, relaxed with GGA-PBE.
Intensities are scaled so that the largest is 100.

Most intense lines, 10 to 90 degrees two-theta, by angle:
2θ/deg  Rel. int.
21.52  77.6
22.08  53.5
31.81  100.0
32.67  50.7
40.49  35.8
42.55  55.6
42.67  26.8
43.89  25.3

Cell and atoms:
```
12
Lattice="4.1260 0.0000 0.0000 0.0000 4.2376 0.0000 0.0000 0.0000 18.3323" Properties=species:S:1:pos:R:3 pbc="T T T"
Ca 0.0000 0.0000 0.0000
Ca 0.0000 2.1188 4.1006
Ca 2.0630 0.0000 13.2668
Ca 2.0630 2.1188 9.1662
Tl 0.0000 0.0000 7.4076
Tl 2.0630 2.1188 16.5738
Ag 0.0000 0.0000 10.2885
Ag 0.0000 2.1188 11.9834
Ag 0.0000 2.1188 14.6967
Ag 2.0630 0.0000 2.8172
Ag 2.0630 0.0000 5.5306
Ag 2.0630 2.1188 1.1223
```

***

No. 2
This entry pairs a crystal structure of Li5CrS4 with its simulated PXRD pattern. Radiation: CuKα. Structure: a crystal structure in Alexandria, relaxed with GGA-PBE.
Intensities are scaled so that the largest is 100.

Most intense lines, 10 to 90 degrees two-theta, by angle:
2θ/deg  Rel. int.
13.51  38.4
14.78  100.0
27.21  36.5
27.35  45.2
36.61  79.5
36.79  23.9
41.33  16.7
50.45  50.6

Cell and atoms:
```
10
Lattice="-1.8626 3.3699 6.5536 1.8626 -3.3699 6.5536 1.8626 3.3699 -6.5536" Properties=species:S:1:pos:R:3 pbc="T T T"
Li 0.0000 0.0000 0.0000
Li 1.8626 1.9064 -2.3285
Li 1.8626 1.9064 2.3285
Li 0.0000 1.4635 4.2251
Li 0.0000 1.4635 8.8822
Cr 0.0000 3.3699 0.0000
S 1.8626 1.7323 0.0000
S 1.8626 0.0000 3.9698
S 0.0000 3.3699 2.5838
S 0.0000 1.6376 6.5536
```